1.
Computed powder XRD pattern
Compound: NdSm4Sb
Radiation: a wavelength of 1.5418 Å
Structure: the GGA-PBE geometry in Alexandria

Most intense lines, 2θ = 10–90°, low angle first:
d 5.296, 16.74°, rel. 31.3
d 3.149, 28.34°, rel. 38.1
d 2.910, 30.72°, rel. 100.0
d 2.867, 31.19°, rel. 31.3
d 2.714, 33.00°, rel. 62.6
d 2.657, 33.73°, rel. 30.7
d 2.640, 33.96°, rel. 86.7
d 2.418, 37.18°, rel. 56.9
d 1.971, 46.04°, rel. 21.4
d 1.421, 65.69°, rel. 29.4

Crystal structure
Cell: 12.3669 12.3669 6.5183 Å, 90.00 90.00 154.64°
Fractional coordinates of all 12 atoms:
Nd (0.0543, 0.9457, 0.5000)
Nd (0.9457, 0.0543, 0.0000)
Sm (0.0891, 0.9109, 0.0001)
Sm (0.2078, 0.7922, 0.2505)
Sm (0.2080, 0.7920, 0.7513)
Sm (0.3570, 0.6430, 0.0009)
Sm (0.6430, 0.3570, 0.5009)
Sm (0.7920, 0.2080, 0.2513)
Sm (0.7922, 0.2078, 0.7505)
Sm (0.9109, 0.0891, 0.5001)
Sb (0.3318, 0.6682, 0.5008)
Sb (0.6682, 0.3318, 0.0008)

=====

2.
Computed powder XRD pattern
Compound: Nd2SmSb2Te2
Radiation: a wavelength of 1.5418 Å
Structure: the GGA-PBE geometry in Alexandria

Most intense lines, 2θ = 10–90°, low angle first:
d 7.825, 11.31°, rel. 34.8
d 4.119, 21.58°, rel. 55.4
d 3.645, 24.42°, rel. 24.9
d 2.912, 30.70°, rel. 100.0
d 2.837, 31.54°, rel. 21.8
d 2.757, 32.47°, rel. 86.7
d 2.059, 43.97°, rel. 37.1
d 2.002, 45.29°, rel. 68.7
d 1.650, 55.71°, rel. 18.6
d 1.436, 64.96°, rel. 23.3

Crystal structure
Cell: 8.8429 8.8429 8.8429 Å, 141.54 141.54 55.52°
Fractional coordinates of all 7 atoms:
Nd (0.1135, 0.1135, 0.0000)
Nd (0.8865, 0.8865, 0.0000)
Sm (0.5000, 0.5000, 0.0000)
Sb (0.0000, 0.5000, 0.5000)
Sb (0.5000, 0.0000, 0.5000)
Te (0.3041, 0.3041, 0.0000)
Te (0.6959, 0.6959, 0.0000)

=====

3.
Computed powder XRD pattern
Compound: Nd4Sn2Sb
Radiation: a wavelength of 1.5418 Å
Structure: the GGA-PBE geometry in Alexandria

Most intense lines, 2θ = 10–90°, low angle first:
d 3.028, 29.50°, rel. 100.0
d 2.559, 35.06°, rel. 65.1
d 2.141, 42.21°, rel. 10.9
d 2.042, 44.37°, rel. 9.4
d 1.955, 46.46°, rel. 16.7
d 1.878, 48.47°, rel. 23.3
d 1.554, 59.47°, rel. 17.5
d 1.551, 59.59°, rel. 8.6
d 1.478, 62.88°, rel. 9.7
d 1.304, 72.51°, rel. 12.3

Crystal structure
Cell: 8.2928 8.2928 8.2928 Å, 109.40 109.40 109.61°
Fractional coordinates of all 14 atoms:
Nd (0.1241, 0.0147, 0.7486)
Nd (0.1255, 0.5162, 0.7514)
Nd (0.2662, 0.3755, 0.2514)
Nd (0.4838, 0.2353, 0.6093)
Nd (0.6245, 0.8759, 0.8907)
Nd (0.6259, 0.8745, 0.3907)
Nd (0.7647, 0.3741, 0.2486)
Nd (0.9853, 0.7338, 0.1093)
Sn (0.0004, 0.1250, 0.3754)
Sn (0.3750, 0.9996, 0.1246)
Sn (0.7496, 0.6250, 0.6246)
Sn (0.8750, 0.2504, 0.8754)
Sb (0.2500, 0.7500, 0.5000)
Sb (0.5000, 0.5000, 0.0000)

=====

4.
Computed powder XRD pattern
Compound: Nd8SnSb5
Radiation: a wavelength of 1.5418 Å
Structure: the GGA-PBE geometry in Alexandria

Most intense lines, 2θ = 10–90°, low angle first:
d 3.013, 29.65°, rel. 100.0
d 2.547, 35.24°, rel. 65.6
d 2.131, 42.42°, rel. 10.7
d 1.945, 46.70°, rel. 16.9
d 1.869, 48.73°, rel. 23.4
d 1.546, 59.83°, rel. 25.5
d 1.507, 61.55°, rel. 12.0
d 1.470, 63.24°, rel. 14.4
d 1.297, 72.96°, rel. 15.7
d 1.108, 88.21°, rel. 10.7

Crystal structure
Cell: 8.2522 8.2522 8.2522 Å, 109.49 109.49 109.44°
Fractional coordinates of all 14 atoms:
Nd (0.0167, 0.1254, 0.7517)
Nd (0.2331, 0.4832, 0.6082)
Nd (0.3737, 0.2650, 0.2483)
Nd (0.3751, 0.7669, 0.2502)
Nd (0.5168, 0.1250, 0.7498)
Nd (0.7350, 0.9833, 0.1088)
Nd (0.8750, 0.6249, 0.3918)
Nd (0.8746, 0.6263, 0.8912)
Sn (0.7500, 0.2500, 0.5000)
Sb (0.9998, 0.3758, 0.1255)
Sb (0.1257, 0.0002, 0.3760)
Sb (0.2503, 0.8743, 0.8745)
Sb (0.5000, 0.5000, 0.0000)
Sb (0.6242, 0.7497, 0.6240)

=====

5.
Computed powder XRD pattern
Compound: Nd4SnSb2
Radiation: a wavelength of 1.5418 Å
Structure: the GGA-PBE geometry in Alexandria

Most intense lines, 2θ = 10–90°, low angle first:
d 4.995, 17.76°, rel. 25.5
d 3.532, 25.22°, rel. 74.7
d 3.152, 28.31°, rel. 39.7
d 3.099, 28.81°, rel. 100.0
d 2.666, 33.62°, rel. 73.3
d 2.653, 33.78°, rel. 25.6
d 2.497, 35.96°, rel. 44.9
d 2.121, 42.62°, rel. 30.3
d 2.111, 42.84°, rel. 29.1
d 1.933, 47.00°, rel. 27.7

Crystal structure
Cell: 8.5907 8.5907 8.5907 Å, 108.90 108.90 110.62°
Fractional coordinates of all 14 atoms:
Nd (0.1912, 0.2535, 0.5623)
Nd (0.1912, 0.6289, 0.9377)
Nd (0.2535, 0.1912, 0.0623)
Nd (0.3711, 0.8088, 0.5623)
Nd (0.6289, 0.1912, 0.4377)
Nd (0.7465, 0.8088, 0.9377)
Nd (0.8088, 0.3711, 0.0623)
Nd (0.8088, 0.7465, 0.4377)
Sn (0.1250, 0.8750, 0.2500)
Sn (0.8750, 0.1250, 0.7500)
Sb (0.0000, 0.5000, 0.5000)
Sb (0.5000, 0.0000, 0.0000)
Sb (0.5000, 0.5000, 0.0000)
Sb (0.5000, 0.5000, 0.5000)

=====

6.
Computed powder XRD pattern
Compound: SrNd3Sb4
Radiation: a wavelength of 1.5418 Å
Structure: the GGA-PBE geometry in Alexandria

Most intense lines, 2θ = 10–90°, low angle first:
d 3.239, 27.54°, rel. 100.0
d 2.296, 39.24°, rel. 38.4
d 2.285, 39.44°, rel. 38.1
d 1.873, 48.60°, rel. 20.6
d 1.861, 48.95°, rel. 6.8
d 1.620, 56.85°, rel. 12.8
d 1.452, 64.16°, rel. 17.5
d 1.446, 64.45°, rel. 17.5
d 1.324, 71.20°, rel. 10.7
d 1.317, 71.66°, rel. 6.4

Crystal structure
Cell: 7.9473 9.1927 7.9050 Å, 90.00 109.67 90.00°
Fractional coordinates of all 16 atoms:
Sr (0.0000, 0.1238, 0.2500)
Sr (0.0000, 0.8762, 0.7500)
Nd (0.0000, 0.3746, 0.7500)
Nd (0.0000, 0.6254, 0.2500)
Nd (0.5000, 0.1242, 0.7500)
Nd (0.5000, 0.3750, 0.2500)
Nd (0.5000, 0.6250, 0.7500)
Nd (0.5000, 0.8758, 0.2500)
Sb (0.2530, 0.3802, 0.5053)
Sb (0.2530, 0.6198, 0.0053)
Sb (0.2608, 0.1314, 0.9988)
Sb (0.2608, 0.8686, 0.4988)
Sb (0.7392, 0.1314, 0.5012)
Sb (0.7392, 0.8686, 0.0012)
Sb (0.7470, 0.3802, 0.9947)
Sb (0.7470, 0.6198, 0.4947)

=====

7.
Computed powder XRD pattern
Compound: Tb3NdSb4
Radiation: a wavelength of 1.5418 Å
Structure: the GGA-PBE geometry in Alexandria

Most intense lines, 2θ = 10–90°, low angle first:
d 3.618, 24.61°, rel. 2.7
d 3.133, 28.49°, rel. 100.0
d 2.216, 40.72°, rel. 76.3
d 1.889, 48.16°, rel. 1.5
d 1.809, 50.45°, rel. 27.3
d 1.567, 58.95°, rel. 12.8
d 1.438, 64.85°, rel. 0.6
d 1.401, 66.75°, rel. 35.0
d 1.279, 74.12°, rel. 25.9
d 1.108, 88.20°, rel. 8.5

Crystal structure
Cell: 6.2667 6.2667 6.2667 Å, 90.00 90.00 90.00°
Fractional coordinates of all 8 atoms:
Tb (0.0000, 0.0000, 0.5000)
Tb (0.0000, 0.5000, 0.0000)
Tb (0.5000, 0.0000, 0.0000)
Nd (0.5000, 0.5000, 0.5000)
Sb (0.0000, 0.0000, 0.0000)
Sb (0.0000, 0.5000, 0.5000)
Sb (0.5000, 0.0000, 0.5000)
Sb (0.5000, 0.5000, 0.0000)

=====

8.
Computed powder XRD pattern
Compound: Nd8TcSb2
Radiation: a wavelength of 1.5418 Å
Structure: the GGA-PBE geometry in Alexandria

Most intense lines, 2θ = 10–90°, low angle first:
d 3.114, 28.66°, rel. 16.3
d 2.995, 29.83°, rel. 58.2
d 2.948, 30.31°, rel. 100.0
d 2.836, 31.55°, rel. 14.1
d 2.707, 33.09°, rel. 17.0
d 2.657, 33.73°, rel. 19.3
d 2.630, 34.09°, rel. 13.9
d 2.412, 37.29°, rel. 38.5
d 2.361, 38.11°, rel. 15.4
d 1.596, 57.75°, rel. 16.6

Crystal structure
Cell: 9.9806 9.9806 7.4543 Å, 99.15 99.15 27.96°
Fractional coordinates of all 11 atoms:
Nd (0.0063, 0.0063, 0.2787)
Nd (0.2166, 0.2166, 0.8448)
Nd (0.3557, 0.3557, 0.4750)
Nd (0.4060, 0.4060, 0.9921)
Nd (0.5940, 0.5940, 0.0079)
Nd (0.6443, 0.6443, 0.5250)
Nd (0.7834, 0.7834, 0.1552)
Nd (0.9937, 0.9937, 0.7213)
Tc (0.5000, 0.5000, 0.5000)
Sb (0.1805, 0.1805, 0.2639)
Sb (0.8195, 0.8195, 0.7361)